Starting from a DFT-relaxed cell (PBE+U, the Materials Project), the powder diffractogram of V4AgO10 was computed for λ = 1.5418 Å (Cu Kα).
No peak broadening, texture or thermal motion is included.

Most intense lines, 2θ = 15–90°, by intensity:
2θ/deg  I_rel  (hkl)
27.19  100  1 1 1
29.20  95  0 0 3
31.59  78  4 0 -1
34.88  65  3 1 1
18.05  64  2 0 1
31.92  61  1 1 -2
49.41  47  0 2 0
17.65  44  2 0 -1
24.27  33  2 0 -2
25.29  33  1 1 0
52.87  26  3 1 4
60.55  26  0 0 6

Crystal structure
```
data_V4AgO10
_symmetry_space_group_name_H-M 'C 1 m 1'
_symmetry_Int_Tables_number 8
_cell_length_a 11.821
_cell_length_b 3.689
_cell_length_c 9.179
_cell_angle_alpha 90.00
_cell_angle_beta 91.41
_cell_angle_gamma 90.00
loop_
_symmetry_equiv_pos_as_xyz
'x,y,z'
'x,-y,z'
'x+1/2,y+1/2,z'
'x+1/2,-y+1/2,z'
loop_
_atom_site_label
_atom_site_type_symbol
_atom_site_fract_x
_atom_site_fract_y
_atom_site_fract_z
V1 V 0.000 0.000 0.000
V2 V 0.043 0.500 0.328
V3 V 0.206 0.500 0.999
V4 V 0.339 0.500 0.329
Ag1 Ag 0.391 0.000 0.681
O1 O 0.012 0.000 0.281
O2 O 0.031 0.500 0.046
O3 O 0.056 0.500 0.504
O4 O 0.168 0.000 0.029
O5 O 0.192 0.500 0.271
O6 O 0.221 0.500 0.823
O7 O 0.336 0.500 0.510
O8 O 0.348 0.500 0.069
O9 O 0.373 0.000 0.300
O10 O 0.471 0.500 0.821
```